# 1
The following is a simulated X-ray powder pattern of NaUHgCl6. It was derived from a PBE-relaxed structure, using CuKα.
No peak broadening, texture or thermal motion is included.

Main lines, most intense first (2θ from 10° to 90°):
- 2θ 17.66, I = 100
- 2θ 32.53, I = 43
- 2θ 40.20, I = 24
- 2θ 14.42, I = 23
- 2θ 25.07, I = 22
- 2θ 30.87, I = 21

Structural model:
```
9
Lattice="3.543 -6.147 0.000 3.543 6.147 0.000 -0.018 0.000 8.730" Properties=species:S:1:pos:R:3 pbc="T T T"
Na 0.000 0.000 0.000
U 3.543 -2.052 0.000
Hg 3.534 2.047 4.365
Cl 1.445 -1.991 7.269
Cl 2.454 -0.281 1.462
Cl 4.614 -0.281 7.268
Cl 2.556 -3.883 1.463
Cl 4.512 -3.883 7.267
Cl 5.623 -1.991 1.461
```



# 2
The following is a simulated X-ray powder pattern of NiHgCl5. It was derived from a PBE-relaxed structure, using CuKα.
No peak broadening, texture or thermal motion is included.

Main lines, most intense first (2θ from 10° to 90°):
- 2θ 14.28, I = 100
- 2θ 23.12, I = 47
- 2θ 20.19, I = 43
- 2θ 36.01, I = 39
- 2θ 21.56, I = 36
- 2θ 31.01, I = 27

Structural model:
```
14
Lattice="4.546 -4.666 0.000 4.546 4.666 0.000 -3.775 0.000 8.440" Properties=species:S:1:pos:R:3 pbc="T T T"
Ni 2.273 2.333 0.000
Ni 0.385 -2.333 4.220
Hg 1.715 4.176 6.330
Hg 3.602 -4.176 2.110
Cl 0.370 2.070 7.274
Cl 2.124 0.126 0.174
Cl 3.602 2.451 2.110
Cl 0.236 -0.126 4.394
Cl 3.059 2.070 5.386
Cl 2.258 -2.070 3.054
Cl 5.081 0.126 4.046
Cl 1.715 -2.451 6.330
Cl 3.193 -0.126 8.266
Cl 4.947 -2.070 1.166
```